Record 1
For PaMnNi2O6, a GGA+U-relaxed structure gives the computed X-ray diffraction stick pattern in this record (Cu Kα X-rays).

Structural model:
```
data_PaMnNi2O6
_chemical_formula_sum 'Pa1 Mn1 Ni2 O6'
_symmetry_space_group_name_H-M 'P 1'
_symmetry_Int_Tables_number 1
_cell_length_a 5.2624
_cell_length_b 5.2873
_cell_length_c 5.6364
_cell_angle_alpha 62.45
_cell_angle_beta 89.64
_cell_angle_gamma 61.77
loop_
_symmetry_equiv_pos_as_xyz
'x,y,z'
loop_
_atom_site_label
_atom_site_fract_x
_atom_site_fract_y
_atom_site_fract_z
Pa1 0.0000 0.0000 0.0000
Mn1 0.5048 0.9892 0.5120
Ni1 0.2089 0.5845 0.6098
Ni2 0.6995 0.5918 0.1120
O1 0.0890 0.5073 0.3005
O2 0.3203 0.7843 0.7920
O3 0.4131 0.8056 0.3102
O4 0.5832 0.1052 0.7829
O5 0.7766 0.1081 0.3086
O6 0.9235 0.4864 0.8207
```

Principal peaks in the range 2θ from 10° to 80°, in order of rising 2θ:
d 4.809, I = 58, (0 0 1); d 4.387, I = 49, (0 1 1); d 3.975, I = 52, (0 1 0); d 3.837, I = 100, (1 1 1); d 2.901, I = 78, (1 0 1); d 2.815, I = 69, (1 1 -1); d 2.805, I = 65, (0 1 2); d 2.705, I = 74, (-1 1 1); d 2.642, I = 64, (1 2 1); d 2.629, I = 63, (2 1 0)

=====

Record 2
For Li6Mn3Sb3O16, a GGA+U-relaxed structure gives the computed X-ray diffraction stick pattern in this record (Cu Kα X-rays).

Structural model:
```
data_Li6Mn3Sb3O16
_chemical_formula_sum 'Li12 Mn6 Sb6 O32'
_symmetry_space_group_name_H-M 'C 1 m 1'
_symmetry_Int_Tables_number 8
_cell_length_a 10.5890
_cell_length_b 6.0329
_cell_length_c 10.0610
_cell_angle_alpha 90.00
_cell_angle_beta 90.63
_cell_angle_gamma 90.00
loop_
_symmetry_equiv_pos_as_xyz
'x,y,z'
'x,-y,z'
'x+1/2,y+1/2,z'
'x+1/2,-y+1/2,z'
loop_
_atom_site_label
_atom_site_fract_x
_atom_site_fract_y
_atom_site_fract_z
Li1 0.0000 0.0000 0.0000
Li2 0.0016 0.0000 0.6491
Li3 0.1750 0.5000 0.0229
Li4 0.1794 0.5000 0.5294
Li5 0.3194 0.0000 0.5214
Li6 0.3287 0.0000 0.1522
Mn1 0.2500 0.2477 0.8099
Mn2 0.3277 0.5000 0.3100
Sb1 0.0754 0.2475 0.3135
Sb2 0.4967 0.0000 0.8086
O1 0.0106 0.0000 0.4336
O2 0.0109 0.5000 0.4294
O3 0.0926 0.2692 0.9137
O4 0.1426 0.5000 0.2003
O5 0.1458 0.0000 0.1998
O6 0.1695 0.5000 0.7102
O7 0.1840 0.0000 0.7090
O8 0.2381 0.2703 0.4140
O9 0.3180 0.5000 0.9102
O10 0.3283 0.0000 0.9162
O11 0.4045 0.2321 0.7049
O12 0.4164 0.2706 0.2102
```

Principal peaks in the range 2θ from 10° to 80°, in order of rising 2θ:
d 5.294, I = 12, (2 0 0); d 5.030, I = 100, (0 0 2); d 4.707, I = 10, (2 0 -1); d 4.661, I = 23, (2 0 1); d 4.638, I = 13, (1 1 1); d 2.536, I = 31, (2 2 -1); d 2.330, I = 14, (4 0 2); d 2.069, I = 22, (2 2 -3); d 2.060, I = 14, (2 2 3); d 1.523, I = 11, (6 2 0)